The following is a computed powder XRD pattern of LiCuH4Cl3O2. It was derived from a structure optimized by DFT (GGA-PBE), using λ = 1.5418 Å (Cu Kα).

Structure:
abc: 6.2447 11.1831 9.3842
angles: 90.00 107.07 90.00
Atoms (fractional coordinates):
Li: 0.0383 0.0397 0.1520
Li: 0.0383 0.4603 0.6520
Li: 0.9617 0.5397 0.3480
Li: 0.9617 0.9603 0.8480
Cu: 0.3478 0.5129 0.1236
Cu: 0.3478 0.9871 0.6236
Cu: 0.6522 0.0129 0.3764
Cu: 0.6522 0.4871 0.8764
H: 0.1103 0.6843 0.5759
H: 0.1103 0.8157 0.0759
H: 0.3122 0.6013 0.5788
H: 0.3122 0.8987 0.0788
H: 0.3218 0.2162 0.2306
H: 0.3218 0.2838 0.7306
H: 0.3743 0.1506 0.0979
H: 0.3743 0.3494 0.5979
H: 0.6257 0.6506 0.4021
H: 0.6257 0.8494 0.9021
H: 0.6782 0.7162 0.2694
H: 0.6782 0.7838 0.7694
H: 0.6878 0.1013 0.9212
H: 0.6878 0.3987 0.4212
H: 0.8897 0.1843 0.9241
H: 0.8897 0.3157 0.4241
Cl: 0.0608 0.6317 0.1361
Cl: 0.0608 0.8683 0.6361
Cl: 0.3197 0.1009 0.8227
Cl: 0.3197 0.3991 0.3227
Cl: 0.3988 0.6185 0.9251
Cl: 0.3988 0.8815 0.4251
Cl: 0.6012 0.1185 0.5749
Cl: 0.6012 0.3815 0.0749
Cl: 0.6803 0.6009 0.6773
Cl: 0.6803 0.8991 0.1773
Cl: 0.9392 0.1317 0.3639
Cl: 0.9392 0.3683 0.8639
O: 0.1469 0.6026 0.5499
O: 0.1469 0.8974 0.0499
O: 0.3227 0.1365 0.1854
O: 0.3227 0.3635 0.6854
O: 0.6773 0.6365 0.3146
O: 0.6773 0.8635 0.8146
O: 0.8531 0.1026 0.9501
O: 0.8531 0.3974 0.4501

Principal peaks in the range 5° ≤ 2θ ≤ 70°, by intensity:
d [Å]	two_theta	I (rel.)	index
6.998	12.65	100	0 1 1
5.592	15.85	78	0 2 0
4.102	21.67	74	1 1 1
3.462	25.73	46	1 2 1
2.364	38.07	36	1 3 -3
2.682	33.41	36	1 2 -3